1.
The following is a simulated XRD peak list of PrNi3Ge. It was derived from a crystal structure in Alexandria, relaxed with GGA-PBE, using Cu Kα X-rays.
Peak positions follow from Bragg's law for the DFT cell and can differ from measured ones.

Atomic structure:
```
data_PrNi3Ge
_symmetry_space_group_name_H-M 'C m m m'
_symmetry_Int_Tables_number 65
_symmetry_space_group_name_Hall '-C 2 2'
_cell_length_a 5.516
_cell_length_b 7.174
_cell_length_c 4.496
_cell_angle_alpha 90.00
_cell_angle_beta 90.00
_cell_angle_gamma 90.00
loop_
_atom_site_label
_atom_site_type_symbol
_atom_site_fract_x
_atom_site_fract_y
_atom_site_fract_z
Pr1 Pr 0.000 0.000 0.000
Ni1 Ni 0.000 0.500 0.000
Ni2 Ni 0.250 0.250 0.500
Ge1 Ge 0.000 0.500 0.500
```

Main lines, in order of falling intensity (10 to 80 degrees two-theta):
- 41.29°, rel. 100.0, (2 2 0)
- 31.92°, rel. 82.8, (0 2 1)
- 28.47°, rel. 73.8, (1 1 1)
- 58.93°, rel. 67.4, (2 2 2)
- 40.11°, rel. 54.4, (0 0 2)
- 38.29°, rel. 50.0, (2 0 1)
- 50.91°, rel. 26.7, (0 4 0)
- 24.82°, rel. 26.1, (0 2 0)
- 66.72°, rel. 22.8, (0 4 2)
- 46.03°, rel. 20.1, (1 3 1)
- 65.45°, rel. 19.2, (2 4 1)
- 77.07°, rel. 16.2, (4 2 1)

=====

2.
The following is a simulated XRD peak list of PrNi8Ge2. It was derived from a crystal structure in Alexandria, relaxed with GGA-PBE, using Cu Kα X-rays.
Peak positions follow from Bragg's law for the DFT cell and can differ from measured ones.

Atomic structure:
```
data_PrNi8Ge2
_symmetry_space_group_name_H-M 'P 4/m m m'
_symmetry_Int_Tables_number 123
_symmetry_space_group_name_Hall '-P 4 2'
_cell_length_a 4.823
_cell_length_b 4.823
_cell_length_c 7.954
_cell_angle_alpha 90.00
_cell_angle_beta 90.00
_cell_angle_gamma 90.00
loop_
_atom_site_label
_atom_site_type_symbol
_atom_site_fract_x
_atom_site_fract_y
_atom_site_fract_z
Pr1 Pr 0.000 0.000 0.000
Ni1 Ni 0.254 0.254 0.291
Ge1 Ge 0.000 0.500 0.500
```

Main lines, in order of falling intensity (10 to 80 degrees two-theta):
- 43.91°, rel. 100.0, (2 0 2)
- 28.48°, rel. 50.8, (1 1 1)
- 53.76°, rel. 31.8, (2 2 0)
- 11.12°, rel. 28.6, (0 0 1)
- 21.55°, rel. 25.0, (1 0 1)
- 43.22°, rel. 16.3, (1 1 3)
- 51.21°, rel. 15.4, (2 0 3)
- 18.40°, rel. 13.9, (1 0 0)
- 29.10°, rel. 13.3, (1 0 2)
- 45.62°, rel. 12.6, (0 0 4)
- 33.81°, rel. 12.1, (0 0 3)
- 73.11°, rel. 11.6, (2 2 4)

=====

3.
The following is a simulated XRD peak list of Pr3Ni2Ge2. It was derived from a crystal structure in Alexandria, relaxed with GGA-PBE, using Cu Kα X-rays.
Peak positions follow from Bragg's law for the DFT cell and can differ from measured ones.

Atomic structure:
```
data_Pr3Ni2Ge2
_symmetry_space_group_name_H-M 'P b c m'
_symmetry_Int_Tables_number 57
_cell_length_a 5.732
_cell_length_b 8.121
_cell_length_c 13.055
_cell_angle_alpha 90.00
_cell_angle_beta 90.00
_cell_angle_gamma 90.00
loop_
_symmetry_equiv_pos_as_xyz
'x,y,z'
'-x,-y,-z'
'-x,-y,z+1/2'
'x,y,-z+1/2'
'x,-y+1/2,-z'
'-x,y+1/2,z'
'-x,y+1/2,-z+1/2'
'x,-y+1/2,z+1/2'
loop_
_atom_site_label
_atom_site_type_symbol
_atom_site_fract_x
_atom_site_fract_y
_atom_site_fract_z
Pr1 Pr 0.138 0.109 0.100
Pr2 Pr 0.359 0.745 0.750
Ni1 Ni 0.388 0.034 0.588
Ge1 Ge 0.163 0.095 0.750
Ge2 Ge 0.355 0.750 0.000
```

Main lines, in order of falling intensity (10 to 80 degrees two-theta):
- 39.24°, rel. 100.0, (2 1 3)
- 36.71°, rel. 88.2, (1 3 0)
- 33.15°, rel. 82.3, (2 1 0)
- 33.47°, rel. 65.8, (1 1 4)
- 34.01°, rel. 57.1, (1 2 3)
- 30.10°, rel. 55.4, (0 2 3)
- 35.28°, rel. 41.0, (0 2 4)
- 41.50°, rel. 34.5, (0 0 6)
- 47.51°, rel. 29.8, (1 4 0)
- 56.60°, rel. 28.5, (1 3 6)
- 27.99°, rel. 25.5, (1 1 3)
- 54.44°, rel. 22.8, (2 3 4)

=====

4.
The following is a simulated XRD peak list of PrNi3Ge2. It was derived from a crystal structure in Alexandria, relaxed with GGA-PBE, using Cu Kα X-rays.
Peak positions follow from Bragg's law for the DFT cell and can differ from measured ones.

Atomic structure:
```
data_PrNi3Ge2
_symmetry_space_group_name_H-M 'C 1 2/m 1'
_symmetry_Int_Tables_number 12
_cell_length_a 15.857
_cell_length_b 3.942
_cell_length_c 9.604
_cell_angle_alpha 90.00
_cell_angle_beta 107.29
_cell_angle_gamma 90.00
loop_
_symmetry_equiv_pos_as_xyz
'x,y,z'
'-x,-y,-z'
'-x,y,-z'
'x,-y,z'
'x+1/2,y+1/2,z'
'-x+1/2,-y+1/2,-z'
'-x+1/2,y+1/2,-z'
'x+1/2,-y+1/2,z'
loop_
_atom_site_label
_atom_site_type_symbol
_atom_site_fract_x
_atom_site_fract_y
_atom_site_fract_z
Pr1 Pr 0.000 0.000 0.000
Pr2 Pr 0.156 0.000 0.701
Ni1 Ni 0.000 0.500 0.500
Ni2 Ni 0.049 0.000 0.346
Ni3 Ni 0.128 0.500 0.205
Ni4 Ni 0.176 0.500 0.971
Ni5 Ni 0.214 0.000 0.390
Ge1 Ge 0.028 0.500 0.771
Ge2 Ge 0.141 0.500 0.454
Ge3 Ge 0.200 0.000 0.129
```

Main lines, in order of falling intensity (10 to 80 degrees two-theta):
- 36.26°, rel. 100.0, (1 1 -3)
- 46.05°, rel. 61.5, (0 2 0)
- 36.37°, rel. 60.0, (5 1 -1)
- 31.69°, rel. 45.6, (3 1 -2)
- 44.58°, rel. 37.9, (2 0 4)
- 37.84°, rel. 35.0, (3 1 2)
- 35.58°, rel. 33.2, (6 0 0)
- 41.04°, rel. 25.7, (5 1 1)
- 44.82°, rel. 24.8, (6 0 -4)
- 32.07°, rel. 21.2, (3 1 1)
- 49.53°, rel. 17.2, (7 1 -3)
- 46.30°, rel. 16.2, (7 1 -1)

=====

5.
The following is a simulated XRD peak list of PrNiGe2Rh2. It was derived from a crystal structure in Alexandria, relaxed with GGA-PBE, using Cu Kα X-rays.
Peak positions follow from Bragg's law for the DFT cell and can differ from measured ones.

Atomic structure:
```
data_PrNiGe2Rh2
_symmetry_space_group_name_H-M 'P 4/m m m'
_symmetry_Int_Tables_number 123
_symmetry_space_group_name_Hall '-P 4 2'
_cell_length_a 4.454
_cell_length_b 4.454
_cell_length_c 5.545
_cell_angle_alpha 90.00
_cell_angle_beta 90.00
_cell_angle_gamma 90.00
loop_
_atom_site_label
_atom_site_type_symbol
_atom_site_fract_x
_atom_site_fract_y
_atom_site_fract_z
Pr1 Pr 0.000 0.000 0.000
Ni1 Ni 0.000 0.000 0.500
Ge1 Ge 0.000 0.500 0.500
Rh1 Rh 0.500 0.500 0.244
```

Main lines, in order of falling intensity (10 to 80 degrees two-theta):
- 38.24°, rel. 100.0, (1 0 2)
- 40.51°, rel. 78.8, (2 0 0)
- 56.92°, rel. 61.4, (2 1 2)
- 32.70°, rel. 48.4, (1 1 1)
- 28.34°, rel. 46.2, (1 1 0)
- 58.62°, rel. 26.0, (2 2 0)
- 72.17°, rel. 14.8, (3 0 2)
- 68.76°, rel. 11.3, (3 1 1)
- 43.49°, rel. 9.5, (1 1 2)
- 67.57°, rel. 8.3, (0 0 4)
- 66.37°, rel. 7.8, (3 1 0)
- 25.65°, rel. 7.6, (1 0 1)

=====

6.
The following is a simulated XRD peak list of Pr2Ni12Ge3Rh. It was derived from a crystal structure in Alexandria, relaxed with GGA-PBE, using Cu Kα X-rays.
Peak positions follow from Bragg's law for the DFT cell and can differ from measured ones.

Atomic structure:
```
data_Pr2Ni12Ge3Rh
_symmetry_space_group_name_H-M 'R -3 m'
_symmetry_Int_Tables_number 166
_symmetry_space_group_name_Hall '-R 3 2"'
_cell_length_a 8.6576
_cell_length_b 8.6576
_cell_length_c 12.0303
_cell_angle_alpha 90.00
_cell_angle_beta 90.00
_cell_angle_gamma 120.00
loop_
_atom_site_label
_atom_site_type_symbol
_atom_site_fract_x
_atom_site_fract_y
_atom_site_fract_z
Pr1 Pr 0.0000 0.0000 0.1793
Ni1 Ni 0.0096 0.5048 0.6078
Ni2 Ni 0.0120 0.5060 0.1999
Ge1 Ge 0.0000 0.5000 0.0000
Rh1 Rh 0.0000 0.0000 0.5000
```

Main lines, in order of falling intensity (10 to 80 degrees two-theta):
- 41.73°, rel. 100.0, (2 2 0)
- 44.76°, rel. 52.3, (2 0 5)
- 30.38°, rel. 41.8, (1 1 3)
- 78.31°, rel. 17.6, (4 2 5)
- 62.85°, rel. 17.6, (0 4 5)
- 42.63°, rel. 17.0, (0 3 3)
- 76.18°, rel. 15.1, (6 0 0)
- 61.18°, rel. 11.8, (4 1 3)
- 22.17°, rel. 8.2, (0 0 3)
- 63.22°, rel. 6.8, (2 2 6)
- 50.14°, rel. 6.3, (1 1 6)
- 47.75°, rel. 6.1, (2 2 3)

=====

7.
The following is a simulated XRD peak list of Pr2Ni4Sn3Ge. It was derived from a crystal structure in Alexandria, relaxed with GGA-PBE, using Cu Kα X-rays.
Peak positions follow from Bragg's law for the DFT cell and can differ from measured ones.

Atomic structure:
```
data_Pr2Ni4Sn3Ge
_symmetry_space_group_name_H-M 'P -4 m 2'
_symmetry_Int_Tables_number 115
_cell_length_a 4.407
_cell_length_b 4.407
_cell_length_c 10.089
_cell_angle_alpha 90.00
_cell_angle_beta 90.00
_cell_angle_gamma 90.00
loop_
_symmetry_equiv_pos_as_xyz
'x,y,z'
'y,-x,-z'
'-x,-y,z'
'-y,x,-z'
'-x,y,z'
'-y,-x,-z'
'x,-y,z'
'y,x,-z'
loop_
_atom_site_label
_atom_site_type_symbol
_atom_site_fract_x
_atom_site_fract_y
_atom_site_fract_z
Pr1 Pr 0.000 0.500 0.249
Ni1 Ni 0.000 0.000 0.000
Ni2 Ni 0.000 0.500 0.619
Ni3 Ni 0.500 0.500 0.000
Sn1 Sn 0.000 0.500 0.871
Sn2 Sn 0.500 0.500 0.500
Ge1 Ge 0.000 0.000 0.500
```

Main lines, in order of falling intensity (10 to 80 degrees two-theta):
- 33.81°, rel. 100.0, (1 1 2)
- 33.52°, rel. 81.0, (1 0 3)
- 40.96°, rel. 75.9, (2 0 0)
- 53.92°, rel. 41.7, (2 1 3)
- 49.69°, rel. 30.1, (1 0 5)
- 59.31°, rel. 25.2, (2 2 0)
- 70.05°, rel. 23.7, (3 1 2)
- 66.29°, rel. 23.6, (2 1 5)
- 28.65°, rel. 22.2, (1 1 0)
- 46.31°, rel. 18.9, (1 1 4)
- 62.79°, rel. 15.7, (1 1 6)
- 69.88°, rel. 9.5, (3 0 3)

=====

8.
The following is a simulated XRD peak list of Ni8GePt3. It was derived from a crystal structure in Alexandria, relaxed with GGA-PBE, using Cu Kα X-rays.
Peak positions follow from Bragg's law for the DFT cell and can differ from measured ones.

Atomic structure:
```
data_Ni8GePt3
_symmetry_space_group_name_H-M 'P 1'
_symmetry_Int_Tables_number 1
_cell_length_a 2.682
_cell_length_b 6.436
_cell_length_c 9.220
_cell_angle_alpha 106.58
_cell_angle_beta 98.30
_cell_angle_gamma 90.06
loop_
_symmetry_equiv_pos_as_xyz
'x,y,z'
loop_
_atom_site_label
_atom_site_type_symbol
_atom_site_fract_x
_atom_site_fract_y
_atom_site_fract_z
Ni1 Ni 0.000 0.000 0.000
Ni2 Ni 0.015 0.637 0.035
Ni3 Ni 0.149 0.611 0.298
Ni4 Ni 0.201 0.292 0.403
Ni5 Ni 0.249 0.966 0.500
Ni6 Ni 0.764 0.626 0.530
Ni7 Ni 0.817 0.303 0.637
Ni8 Ni 0.859 0.970 0.723
Ge1 Ge 0.585 0.304 0.170
Pt1 Pt 0.392 0.661 0.788
Pt2 Pt 0.443 0.294 0.891
Pt3 Pt 0.621 0.937 0.243
```

Main lines, in order of falling intensity (10 to 80 degrees two-theta):
- 44.08°, rel. 100.0, (0 3 0)
- 42.48°, rel. 88.9, (1 0 2)
- 41.47°, rel. 77.1, (-1 1 2)
- 44.55°, rel. 59.7, (1 2 -2)
- 43.32°, rel. 57.9, (0 2 -4)
- 48.05°, rel. 50.1, (0 1 4)
- 10.13°, rel. 29.2, (0 0 1)
- 20.33°, rel. 28.5, (0 0 2)
- 19.88°, rel. 26.7, (0 1 1)
- 27.78°, rel. 26.0, (0 2 -1)
- 47.48°, rel. 20.2, (1 -2 2)
- 35.80°, rel. 20.2, (0 2 -3)

=====

9.
The following is a simulated XRD peak list of Ni7Ge2Pt2. It was derived from a crystal structure in Alexandria, relaxed with GGA-PBE, using Cu Kα X-rays.
Peak positions follow from Bragg's law for the DFT cell and can differ from measured ones.

Atomic structure:
```
data_Ni7Ge2Pt2
_symmetry_space_group_name_H-M 'C 1 2/m 1'
_symmetry_Int_Tables_number 12
_cell_length_a 8.720
_cell_length_b 8.112
_cell_length_c 4.444
_cell_angle_alpha 90.00
_cell_angle_beta 117.67
_cell_angle_gamma 90.00
loop_
_symmetry_equiv_pos_as_xyz
'x,y,z'
'-x,-y,-z'
'-x,y,-z'
'x,-y,z'
'x+1/2,y+1/2,z'
'-x+1/2,-y+1/2,-z'
'-x+1/2,y+1/2,-z'
'x+1/2,-y+1/2,z'
loop_
_atom_site_label
_atom_site_type_symbol
_atom_site_fract_x
_atom_site_fract_y
_atom_site_fract_z
Ni1 Ni 0.000 0.000 0.000
Ni2 Ni 0.088 0.500 0.815
Ni3 Ni 0.171 0.246 0.164
Ge1 Ge 0.237 0.500 0.455
Pt1 Pt 0.000 0.196 0.500
```

Main lines, in order of falling intensity (10 to 80 degrees two-theta):
- 45.68°, rel. 100.0, (2 2 1)
- 46.66°, rel. 68.0, (2 2 -2)
- 41.44°, rel. 61.2, (4 0 -1)
- 35.17°, rel. 40.7, (1 3 0)
- 46.35°, rel. 34.2, (3 3 -1)
- 32.44°, rel. 32.8, (2 2 -1)
- 44.69°, rel. 31.9, (0 4 0)
- 22.59°, rel. 30.1, (0 0 1)
- 39.01°, rel. 25.8, (1 3 -1)
- 43.30°, rel. 22.6, (1 1 -2)
- 21.91°, rel. 19.7, (0 2 0)
- 72.89°, rel. 18.6, (1 5 -2)

=====

10.
The following is a simulated XRD peak list of NiGePt2. It was derived from a crystal structure in Alexandria, relaxed with GGA-PBE, using Cu Kα X-rays.
Peak positions follow from Bragg's law for the DFT cell and can differ from measured ones.

Atomic structure:
```
data_NiGePt2
_symmetry_space_group_name_H-M 'F m m m'
_symmetry_Int_Tables_number 69
_symmetry_space_group_name_Hall '-F 2 2'
_cell_length_a 7.427
_cell_length_b 7.774
_cell_length_c 7.921
_cell_angle_alpha 90.00
_cell_angle_beta 90.00
_cell_angle_gamma 90.00
loop_
_atom_site_label
_atom_site_type_symbol
_atom_site_fract_x
_atom_site_fract_y
_atom_site_fract_z
Ni1 Ni 0.000 0.201 0.000
Ge1 Ge 0.000 0.000 0.233
Pt1 Pt 0.198 0.000 0.500
Pt2 Pt 0.250 0.250 0.250
```

Main lines, in order of falling intensity (10 to 80 degrees two-theta):
- 40.59°, rel. 100.0, (2 2 2)
- 32.27°, rel. 27.1, (0 2 2)
- 45.82°, rel. 21.3, (0 0 4)
- 23.96°, rel. 17.8, (2 0 0)
- 46.74°, rel. 17.4, (0 4 0)
- 39.87°, rel. 16.3, (3 1 1)
- 67.53°, rel. 11.3, (0 4 4)
- 72.80°, rel. 9.7, (2 4 4)
- 49.06°, rel. 9.6, (4 0 0)
- 52.38°, rel. 8.2, (2 0 4)
- 74.63°, rel. 6.9, (5 3 1)
- 69.38°, rel. 6.5, (4 0 4)

=====

11.
The following is a simulated XRD peak list of NiGePt6. It was derived from a crystal structure in Alexandria, relaxed with GGA-PBE, using Cu Kα X-rays.
Peak positions follow from Bragg's law for the DFT cell and can differ from measured ones.

Atomic structure:
```
data_NiGePt6
_symmetry_space_group_name_H-M 'F m m m'
_symmetry_Int_Tables_number 69
_symmetry_space_group_name_Hall '-F 2 2'
_cell_length_a 5.495
_cell_length_b 6.756
_cell_length_c 13.052
_cell_angle_alpha 90.00
_cell_angle_beta 90.00
_cell_angle_gamma 90.00
loop_
_atom_site_label
_atom_site_type_symbol
_atom_site_fract_x
_atom_site_fract_y
_atom_site_fract_z
Ni1 Ni 0.000 0.000 0.000
Ge1 Ge 0.000 0.000 0.500
Pt1 Pt 0.000 0.000 0.246
Pt2 Pt 0.250 0.250 0.114
```

Main lines, in order of falling intensity (10 to 80 degrees two-theta):
- 38.35°, rel. 100.0, (0 2 4)
- 42.41°, rel. 79.5, (2 2 0)
- 43.04°, rel. 72.6, (2 0 4)
- 71.69°, rel. 32.4, (2 4 4)
- 73.04°, rel. 26.3, (2 2 8)
- 54.32°, rel. 19.4, (0 4 0)
- 29.78°, rel. 14.8, (0 2 2)
- 56.40°, rel. 14.1, (0 0 8)
- 60.85°, rel. 10.3, (2 2 6)
- 68.28°, rel. 9.9, (4 0 0)
- 35.45°, rel. 9.4, (2 0 2)
- 41.51°, rel. 7.7, (0 0 6)

=====

12.
The following is a simulated XRD peak list of Ni8GePt6. It was derived from a crystal structure in Alexandria, relaxed with GGA-PBE, using Cu Kα X-rays.
Peak positions follow from Bragg's law for the DFT cell and can differ from measured ones.

Atomic structure:
```
data_Ni8GePt6
_symmetry_space_group_name_H-M 'P -1'
_symmetry_Int_Tables_number 2
_cell_length_a 5.141
_cell_length_b 6.354
_cell_length_c 7.026
_cell_angle_alpha 104.44
_cell_angle_beta 95.72
_cell_angle_gamma 105.50
loop_
_symmetry_equiv_pos_as_xyz
'x,y,z'
'-x,-y,-z'
loop_
_atom_site_label
_atom_site_type_symbol
_atom_site_fract_x
_atom_site_fract_y
_atom_site_fract_z
Ni1 Ni 0.035 0.361 0.082
Ni2 Ni 0.168 0.168 0.333
Ni3 Ni 0.315 0.978 0.593
Ni4 Ni 0.353 0.686 0.748
Ge1 Ge 0.500 0.500 0.000
Pt1 Pt 0.053 0.271 0.702
Pt2 Pt 0.265 0.050 0.961
Pt3 Pt 0.403 0.614 0.379
```

Main lines, in order of falling intensity (10 to 80 degrees two-theta):
- 43.36°, rel. 100.0, (-2 1 2)
- 44.35°, rel. 75.6, (1 -1 3)
- 26.60°, rel. 62.5, (0 1 -2)
- 40.42°, rel. 51.9, (0 0 3)
- 48.23°, rel. 41.2, (1 2 -3)
- 29.54°, rel. 40.1, (0 2 -1)
- 38.67°, rel. 38.9, (2 -1 1)
- 46.69°, rel. 38.3, (0 2 2)
- 22.86°, rel. 31.4, (0 1 1)
- 40.32°, rel. 24.5, (2 -2 0)
- 69.39°, rel. 23.5, (1 0 -5)
- 46.47°, rel. 16.5, (0 3 0)

=====

13.
The following is a simulated XRD peak list of Ni4GePt3. It was derived from a crystal structure in Alexandria, relaxed with GGA-PBE, using Cu Kα X-rays.
Peak positions follow from Bragg's law for the DFT cell and can differ from measured ones.

Atomic structure:
```
data_Ni4GePt3
_symmetry_space_group_name_H-M 'C 1 2/m 1'
_symmetry_Int_Tables_number 12
_cell_length_a 11.396
_cell_length_b 4.357
_cell_length_c 4.597
_cell_angle_alpha 90.00
_cell_angle_beta 108.98
_cell_angle_gamma 90.00
loop_
_symmetry_equiv_pos_as_xyz
'x,y,z'
'-x,-y,-z'
'-x,y,-z'
'x,-y,z'
'x+1/2,y+1/2,z'
'-x+1/2,-y+1/2,-z'
'-x+1/2,y+1/2,-z'
'x+1/2,-y+1/2,z'
loop_
_atom_site_label
_atom_site_type_symbol
_atom_site_fract_x
_atom_site_fract_y
_atom_site_fract_z
Ni1 Ni 0.126 0.000 0.183
Ni2 Ni 0.247 0.500 0.182
Ge1 Ge 0.000 0.000 0.500
Pt1 Pt 0.000 0.500 0.000
Pt2 Pt 0.135 0.500 0.598
```

Main lines, in order of falling intensity (10 to 80 degrees two-theta):
- 42.87°, rel. 100.0, (3 1 1)
- 45.48°, rel. 78.2, (5 1 -1)
- 41.45°, rel. 61.5, (0 2 0)
- 22.00°, rel. 55.0, (1 1 0)
- 39.33°, rel. 51.7, (2 0 -2)
- 44.88°, rel. 36.0, (1 1 -2)
- 58.46°, rel. 32.1, (2 2 -2)
- 32.93°, rel. 27.9, (4 0 -1)
- 76.59°, rel. 17.7, (3 3 1)
- 78.45°, rel. 15.4, (5 3 -1)
- 53.92°, rel. 14.2, (4 2 -1)
- 71.85°, rel. 13.8, (1 1 3)